Entry 1:
Cd5Br: computed PXRD pattern (Cu Kα (λ = 1.5418 Å)), based on a structure optimized by DFT (GGA-PBE).
Peak positions follow from Bragg's law for the DFT cell and can differ from measured ones.

Largest 12 diffraction maxima, by intensity, 2θ = 5–70°:
2θ/deg  intensity
33.98  100
28.95  89
36.62  65
32.09  57
37.93  46
42.66  25
53.45  22
61.93  19
41.52  18
64.28  18
46.96  18
42.85  16

Crystal structure
```
6
Lattice="6.3194 -1.7143 0.0000 6.3194 1.7143 0.0000 -4.7093 0.0000 7.1161" Properties=species:S:1:pos:R:3 pbc="T T T"
Cd 0.0000 0.0000 0.0000
Cd -1.6002 0.0000 2.4776
Cd 3.1380 0.0000 0.4469
Cd 1.5197 0.0000 4.7328
Cd 7.5889 0.0000 2.3190
Br 4.6009 0.0000 4.8915
```

Entry 2:
Tb2Nd4Ga3O2: computed PXRD pattern (Cu Kα (λ = 1.5418 Å)), based on a structure optimized by DFT (GGA-PBE).
Peak positions follow from Bragg's law for the DFT cell and can differ from measured ones.

Largest 12 diffraction maxima, by intensity, 2θ = 5–70°:
2θ/deg  intensity
34.92  100
27.26  80
37.33  78
30.33  34
65.77  32
32.53  27
53.82  27
54.58  19
54.05  18
21.66  17
61.36  17
50.33  16

Crystal structure
```
11
Lattice="-2.4090 2.4090 11.7400 2.4090 -2.4090 11.7400 2.4090 2.4090 -11.7400" Properties=species:S:1:pos:R:3 pbc="T T T"
Tb 0.0000 0.0000 4.7673
Tb 0.0000 0.0000 18.7126
Nd 2.4090 0.0000 1.9834
Nd 2.4090 0.0000 9.7566
Nd 0.0000 2.4090 1.9834
Nd 0.0000 2.4090 9.7566
Ga 0.0000 0.0000 7.7203
Ga 0.0000 0.0000 11.7400
Ga 0.0000 0.0000 15.7596
O 0.0000 0.0000 2.5145
O 0.0000 0.0000 20.9654
```

Entry 3:
Na6InI8: computed PXRD pattern (Cu Kα (λ = 1.5418 Å)), based on a structure optimized by DFT (GGA-PBE).
Peak positions follow from Bragg's law for the DFT cell and can differ from measured ones.

Largest 12 diffraction maxima, by intensity, 2θ = 5–70°:
2θ/deg  intensity
27.37  100
39.09  76
23.64  65
63.88  34
46.20  32
48.38  27
62.08  13
56.48  13
11.76  12
22.62  5
35.80  4
40.96  3

Crystal structure
```
15
Lattice="0.0000 6.5174 6.5174 6.5174 0.0000 6.5174 6.5174 6.5174 0.0000" Properties=species:S:1:pos:R:3 pbc="T T T"
Na 3.2587 3.2587 0.0000
Na 3.2587 0.0000 3.2587
Na 6.5174 3.2587 3.2587
Na 0.0000 3.2587 3.2587
Na 3.2587 6.5174 3.2587
Na 3.2587 3.2587 6.5174
In 0.0000 0.0000 0.0000
I 6.5174 6.5174 3.1854
I 6.5174 3.1854 6.5174
I 9.8493 6.5174 6.5174
I 3.2587 3.2587 3.2587
I 9.7761 9.7761 9.7761
I 3.1854 6.5174 6.5174
I 6.5174 9.8493 6.5174
I 6.5174 6.5174 9.8493
```